CeTl2P5O15: computed powder diffraction line list (Cu Kα, 1.54184 Å), based on a PBE-relaxed structure.

The 6 most intense peaks (15 to 90 degrees two-theta), by intensity:
- 2θ 26.18, d 3.404, I = 100
- 2θ 25.48, d 3.496, I = 91
- 2θ 24.60, d 3.619, I = 70
- 2θ 24.72, d 3.601, I = 69
- 2θ 26.37, d 3.380, I = 54
- 2θ 32.55, d 2.751, I = 41

Structure:
```
CeTl2P5O15
1.0
4.325 -5.988 0.000
4.325 5.988 0.000
-0.216 0.000 13.520
Ce Tl P O
2 4 10 30
direct
0.092 0.908 0.500
0.908 0.092 0.000
0.222 0.443 0.689
0.295 0.691 0.992
0.443 0.222 0.189
0.691 0.295 0.492
0.001 0.401 0.233
0.026 0.815 0.221
0.219 0.442 0.421
0.401 0.001 0.733
0.442 0.219 0.921
0.548 0.798 0.409
0.616 0.771 0.192
0.771 0.616 0.692
0.798 0.548 0.909
0.815 0.026 0.721
0.022 0.297 0.140
0.074 0.923 0.126
0.085 0.626 0.208
0.105 0.564 0.458
0.109 0.915 0.317
0.171 0.382 0.306
0.214 0.263 0.474
0.263 0.214 0.974
0.297 0.022 0.640
0.349 0.815 0.786
0.382 0.171 0.806
0.432 0.905 0.459
0.444 0.568 0.415
0.477 0.590 0.153
0.538 0.840 0.292
0.564 0.105 0.958
0.568 0.444 0.915
0.590 0.477 0.653
0.626 0.085 0.708
0.672 0.941 0.125
0.723 0.800 0.733
0.751 0.831 0.443
0.800 0.723 0.233
0.815 0.349 0.286
0.831 0.751 0.943
0.840 0.538 0.792
0.905 0.432 0.959
0.915 0.109 0.817
0.923 0.074 0.626
0.941 0.672 0.625
```

***

LiAc2Rh3: computed powder diffraction line list (Cu Kα, 1.54184 Å), based on a PBE-relaxed structure.

The 6 most intense peaks (15 to 90 degrees two-theta), by intensity:
- 2θ 32.12, d 2.787, I = 100
- 2θ 40.85, d 2.209, I = 43
- 2θ 52.89, d 1.731, I = 25
- 2θ 62.02, d 1.496, I = 24
- 2θ 23.25, d 3.826, I = 23
- 2θ 68.91, d 1.363, I = 23

Structure:
```
LiAc2Rh3
1.0
4.418 0.000 0.000
-2.209 3.826 0.000
0.000 0.000 16.273
Li Ac Rh
2 4 6
direct
0.333 0.667 0.250
0.667 0.333 0.750
0.000 0.000 0.122
0.000 0.000 0.378
0.000 0.000 0.622
0.000 0.000 0.878
0.333 0.667 0.001
0.333 0.667 0.499
0.333 0.667 0.750
0.667 0.333 0.250
0.667 0.333 0.501
0.667 0.333 0.999
```

***

TbEr3Ir3: computed powder diffraction line list (Cu Kα, 1.54184 Å), based on a PBE-relaxed structure.

The 6 most intense peaks (15 to 90 degrees two-theta), by intensity:
- 2θ 37.72, d 2.385, I = 100
- 2θ 36.27, d 2.477, I = 28
- 2θ 36.84, d 2.440, I = 27
- 2θ 52.65, d 1.738, I = 19
- 2θ 66.20, d 1.412, I = 19
- 2θ 66.94, d 1.398, I = 19

Structure:
```
TbEr3Ir3
1.0
4.880 -4.954 0.000
4.880 4.954 0.000
0.000 0.000 6.556
Tb Er Ir
2 6 6
direct
0.247 0.247 0.000
0.753 0.753 0.000
0.255 0.255 0.500
0.256 0.744 0.500
0.261 0.739 0.000
0.739 0.261 0.000
0.744 0.256 0.500
0.745 0.745 0.500
0.000 0.500 0.252
0.000 0.500 0.748
0.500 0.000 0.252
0.500 0.000 0.748
0.500 0.500 0.251
0.500 0.500 0.749
```

***

Na5B7C3: computed powder diffraction line list (Cu Kα, 1.54184 Å), based on a PBE-relaxed structure.

The 6 most intense peaks (15 to 90 degrees two-theta), by intensity:
- 2θ 42.01, d 2.151, I = 100
- 2θ 41.15, d 2.193, I = 50
- 2θ 42.36, d 2.134, I = 37
- 2θ 63.59, d 1.463, I = 18
- 2θ 36.07, d 2.490, I = 18
- 2θ 77.25, d 1.235, I = 13

Structure:
```
Na5B7C3
1.0
11.466 -1.425 0.000
11.466 1.425 0.000
-2.927 0.000 9.517
Na B C
10 14 6
direct
0.000 0.000 0.000
0.100 0.100 0.697
0.199 0.199 0.400
0.300 0.300 0.099
0.399 0.399 0.802
0.500 0.500 0.500
0.601 0.601 0.198
0.700 0.700 0.901
0.801 0.801 0.600
0.900 0.900 0.303
0.017 0.017 0.284
0.117 0.117 0.984
0.186 0.186 0.121
0.220 0.220 0.690
0.319 0.319 0.389
0.389 0.389 0.528
0.423 0.423 0.097
0.577 0.577 0.903
0.611 0.611 0.472
0.681 0.681 0.611
0.780 0.780 0.310
0.814 0.814 0.879
0.883 0.883 0.016
0.983 0.983 0.716
0.081 0.081 0.411
0.283 0.283 0.816
0.485 0.485 0.222
0.515 0.515 0.778
0.717 0.717 0.184
0.919 0.919 0.589
```

***

Copy entry 1 word for word.
CeTl2P5O15: computed powder diffraction line list (Cu Kα, 1.54184 Å), based on a PBE-relaxed structure.

The 6 most intense peaks (15 to 90 degrees two-theta), by intensity:
- 2θ 26.18, d 3.404, I = 100
- 2θ 25.48, d 3.496, I = 91
- 2θ 24.60, d 3.619, I = 70
- 2θ 24.72, d 3.601, I = 69
- 2θ 26.37, d 3.380, I = 54
- 2θ 32.55, d 2.751, I = 41

Structure:
```
CeTl2P5O15
1.0
4.325 -5.988 0.000
4.325 5.988 0.000
-0.216 0.000 13.520
Ce Tl P O
2 4 10 30
direct
0.092 0.908 0.500
0.908 0.092 0.000
0.222 0.443 0.689
0.295 0.691 0.992
0.443 0.222 0.189
0.691 0.295 0.492
0.001 0.401 0.233
0.026 0.815 0.221
0.219 0.442 0.421
0.401 0.001 0.733
0.442 0.219 0.921
0.548 0.798 0.409
0.616 0.771 0.192
0.771 0.616 0.692
0.798 0.548 0.909
0.815 0.026 0.721
0.022 0.297 0.140
0.074 0.923 0.126
0.085 0.626 0.208
0.105 0.564 0.458
0.109 0.915 0.317
0.171 0.382 0.306
0.214 0.263 0.474
0.263 0.214 0.974
0.297 0.022 0.640
0.349 0.815 0.786
0.382 0.171 0.806
0.432 0.905 0.459
0.444 0.568 0.415
0.477 0.590 0.153
0.538 0.840 0.292
0.564 0.105 0.958
0.568 0.444 0.915
0.590 0.477 0.653
0.626 0.085 0.708
0.672 0.941 0.125
0.723 0.800 0.733
0.751 0.831 0.443
0.800 0.723 0.233
0.815 0.349 0.286
0.831 0.751 0.943
0.840 0.538 0.792
0.905 0.432 0.959
0.915 0.109 0.817
0.923 0.074 0.626
0.941 0.672 0.625
```